No. 1
The following is a calculated PXRD pattern of Ce4InNi2. It was derived from a structure optimized by DFT (GGA-PBE), using Cu Kα.
Lines closer than 0.1° are merged.

Cell and atoms:
Cell lengths 3.9211, 3.9211, 39.5090 Å; angles 90.00, 90.00, 120.00 degrees
Space group R-3m (No. 166, hexagonal axes)
Inequivalent atoms, fractional coordinates:
1 Ce 0.0000 0.0000 0.1034
2 Ce 0.0000 0.0000 0.3113
3 In 0.0000 0.0000 0.5000
4 Ni 0.0000 0.0000 0.3953

Most intense lines, 10 to 90 degrees two-theta, low angle first:
d/Å	2θ (°)	Rel. int.	h k l
3.120	28.61	88	0 1 5
2.575	34.84	100	1 0 10
2.170	41.61	23	0 1 14
1.961	46.31	55	1 1 0
1.560	59.23	21	0 2 10
1.221	78.33	18	2 1 10


No. 2
The following is a calculated PXRD pattern of CeNp2In9. It was derived from a structure optimized by DFT (GGA-PBE), using Cu Kα.
Lines closer than 0.1° are merged.

Cell and atoms:
Cell lengths 4.6705, 4.6705, 14.0249 Å; angles 90.00, 90.00, 90.00 degrees
Space group P4/mmm (No. 123)
Inequivalent atoms, fractional coordinates:
1 Ce 0.0000 0.0000 0.0000
2 Np 0.0000 0.0000 0.3346
3 In 0.0000 0.5000 0.1695
4 In 0.0000 0.5000 0.5000
5 In 0.5000 0.5000 0.0000
6 In 0.5000 0.5000 0.3343

Most intense lines, 10 to 90 degrees two-theta, low angle first:
d/Å	2θ (°)	Rel. int.	h k l
4.672	19.00	6	0 0 3
2.697	33.21	100	1 1 3
2.336	38.54	50	2 0 0
1.652	55.64	34	2 2 0
1.409	66.36	39	3 1 3
1.349	69.72	11	2 2 6